Record 1
Computed powder X-ray diffraction pattern
Compound: InSnCl3
Radiation: λ = 1.5418 Å (Cu Kα)
Structure: a GGA-PBE-relaxed structure

Largest 10 diffraction maxima, low angle first, 2θ from 15° to 90°:
hkl 2 0 0, 2θ 22.35, rel. 23
hkl 1 2 1, 2θ 23.23, rel. 100
hkl 0 0 2, 2θ 24.16, rel. 22
hkl 0 4 0, 2θ 33.02, rel. 24
hkl 2 0 2, 2θ 33.14, rel. 31
hkl 3 2 1, 2θ 39.76, rel. 16
hkl 2 4 0, 2θ 40.24, rel. 16
hkl 0 4 2, 2θ 41.33, rel. 16
hkl 1 2 3, 2θ 41.94, rel. 38
hkl 2 4 2, 2θ 47.48, rel. 17

Crystal structure
```
data_InSnCl3
_chemical_formula_sum 'In4 Sn4 Cl12'
_space_group_name_H-M_alt 'P n m a'
_space_group_IT_number 62
_space_group_name_Hall '-P 2ac 2n'
_cell_length_a 7.955
_cell_length_b 10.852
_cell_length_c 7.368
_cell_angle_alpha 90.00
_cell_angle_beta 90.00
_cell_angle_gamma 90.00
loop_
_atom_site_label
_atom_site_type_symbol
_atom_site_fract_x
_atom_site_fract_y
_atom_site_fract_z
_atom_site_occupancy
In1 In 0.070 0.250 0.026 1
Sn1 Sn 0.000 0.000 0.500 1
Cl1 Cl 0.036 0.750 0.385 1
Cl2 Cl 0.193 0.555 0.817 1
```

---

Record 2
Computed powder X-ray diffraction pattern
Compound: In2Sn5Cl12
Radiation: λ = 1.5418 Å (Cu Kα)
Structure: a GGA-PBE-relaxed structure

Largest 10 diffraction maxima, low angle first, 2θ from 15° to 90°:
hkl 2 0 -2, 2θ 17.94, rel. 47
hkl 1 1 -2, 2θ 20.29, rel. 62
hkl 3 1 0, 2θ 20.95, rel. 100
hkl 0 2 1, 2θ 24.81, rel. 29
hkl 0 2 2, 2θ 29.08, rel. 51
hkl 0 0 4, 2θ 34.97, rel. 20
hkl 6 0 0, 2θ 35.26, rel. 29
hkl 2 2 3, 2θ 39.50, rel. 57
hkl 6 2 -2, 2θ 42.16, rel. 22
hkl 0 4 0, 2θ 47.44, rel. 20

Crystal structure
```
data_In2Sn5Cl12
_chemical_formula_sum 'In4 Sn10 Cl24'
_space_group_name_H-M_alt 'C 1 2/m 1'
_space_group_IT_number 12
_space_group_name_Hall '-C 2y'
_cell_length_a 15.903
_cell_length_b 7.666
_cell_length_c 10.682
_cell_angle_alpha 90.00
_cell_angle_beta 106.23
_cell_angle_gamma 90.00
loop_
_atom_site_label
_atom_site_type_symbol
_atom_site_fract_x
_atom_site_fract_y
_atom_site_fract_z
_atom_site_occupancy
In1 In 0.000 0.210 0.000 1
Sn1 Sn 0.000 0.000 0.500 1
Sn2 Sn 0.164 0.500 0.735 1
Sn3 Sn 0.192 0.500 0.328 1
Cl1 Cl 0.020 0.500 0.218 1
Cl2 Cl 0.040 0.000 0.768 1
Cl3 Cl 0.136 0.269 0.532 1
Cl4 Cl 0.202 0.242 0.158 1
```

---

Record 3
Computed powder X-ray diffraction pattern
Compound: In3SnCl4
Radiation: λ = 1.5418 Å (Cu Kα)
Structure: a GGA-PBE-relaxed structure

Largest 10 diffraction maxima, low angle first, 2θ from 15° to 90°:
hkl 1 0 1, 2θ 17.44, rel. 34
hkl 1 2 0, 2θ 21.87, rel. 59
hkl 0 2 1, 2θ 24.32, rel. 100
hkl 2 1 1, 2θ 26.33, rel. 80
hkl 2 2 1, 2θ 31.43, rel. 73
hkl 1 1 2, 2θ 32.30, rel. 37
hkl 3 0 1, 2θ 33.07, rel. 33
hkl 3 2 0, 2θ 35.68, rel. 53
hkl 2 1 2, 2θ 36.70, rel. 62
hkl 2 3 1, 2θ 38.59, rel. 56

Crystal structure
```
data_In3SnCl4
_chemical_formula_sum 'In6 Sn2 Cl8'
_space_group_name_H-M_alt 'P m n 21'
_space_group_IT_number 31
_space_group_name_Hall 'P 2ac -2'
_cell_length_a 9.055
_cell_length_b 9.111
_cell_length_c 6.145
_cell_angle_alpha 90.00
_cell_angle_beta 90.00
_cell_angle_gamma 90.00
loop_
_atom_site_label
_atom_site_type_symbol
_atom_site_fract_x
_atom_site_fract_y
_atom_site_fract_z
_atom_site_occupancy
In1 In 0.000 0.124 0.000 1
In2 In 0.221 0.881 0.192 1
Sn1 Sn 0.000 0.613 0.762 1
Cl1 Cl 0.000 0.646 0.191 1
Cl2 Cl 0.000 0.888 0.629 1
Cl3 Cl 0.207 0.309 0.343 1
```

---

Record 4
Computed powder X-ray diffraction pattern
Compound: InSnCl3
Radiation: λ = 1.5418 Å (Cu Kα)
Structure: a GGA-PBE-relaxed structure

Largest 10 diffraction maxima, low angle first, 2θ from 15° to 90°:
hkl 0 0 1, 2θ 15.30, rel. 39
hkl 1 0 0, 2θ 15.59, rel. 65
hkl 1 1 0, 2θ 21.04, rel. 39
hkl 0 1 1, 2θ 21.65, rel. 59
hkl 0 1 -1, 2θ 22.17, rel. 100
hkl 1 -1 0, 2θ 23.14, rel. 43
hkl 2 0 0, 2θ 31.48, rel. 61
hkl 2 1 0, 2θ 33.92, rel. 48
hkl 0 1 2, 2θ 34.43, rel. 38
hkl 2 0 1, 2θ 34.83, rel. 45

Crystal structure
```
data_InSnCl3
_chemical_formula_sum 'In1 Sn1 Cl3'
_space_group_name_H-M_alt 'P 1'
_space_group_IT_number 1
_space_group_name_Hall 'P 1'
_cell_length_a 5.708
_cell_length_b 5.715
_cell_length_c 5.793
_cell_angle_alpha 88.62
_cell_angle_beta 88.40
_cell_angle_gamma 84.59
loop_
_atom_site_label
_atom_site_type_symbol
_atom_site_fract_x
_atom_site_fract_y
_atom_site_fract_z
_atom_site_occupancy
In1 In 0.000 0.000 0.000 1
Sn1 Sn 0.612 0.612 0.602 1
Cl1 Cl 0.144 0.649 0.636 1
Cl2 Cl 0.642 0.646 0.055 1
Cl3 Cl 0.650 0.145 0.636 1
```

---

Record 5
Computed powder X-ray diffraction pattern
Compound: In2Sn2Cl5
Radiation: λ = 1.5418 Å (Cu Kα)
Structure: a GGA-PBE-relaxed structure

Largest 10 diffraction maxima, low angle first, 2θ from 15° to 90°:
hkl 2 1 1, 2θ 18.91, rel. 53
hkl 0 2 0, 2θ 20.52, rel. 84
hkl 4 1 1, 2θ 25.97, rel. 100
hkl 2 0 2, 2θ 26.55, rel. 29
hkl 4 0 2, 2θ 32.09, rel. 64
hkl 2 2 2, 2θ 33.79, rel. 82
hkl 6 1 1, 2θ 34.84, rel. 92
hkl 2 3 1, 2θ 35.01, rel. 33
hkl 4 3 1, 2θ 39.46, rel. 48
hkl 0 0 4, 2θ 50.14, rel. 53

Crystal structure
```
data_In2Sn2Cl5
_chemical_formula_sum 'In8 Sn8 Cl20'
_space_group_name_H-M_alt 'I m a 2'
_space_group_IT_number 46
_space_group_name_Hall 'I 2 -2a'
_cell_length_a 17.423
_cell_length_b 8.655
_cell_length_c 7.278
_cell_angle_alpha 90.00
_cell_angle_beta 90.00
_cell_angle_gamma 90.00
loop_
_atom_site_label
_atom_site_type_symbol
_atom_site_fract_x
_atom_site_fract_y
_atom_site_fract_z
_atom_site_occupancy
In1 In 0.098 0.018 0.000 1
Sn1 Sn 0.000 0.000 0.561 1
Sn2 Sn 0.250 0.505 0.762 1
Cl1 Cl 0.033 0.697 0.781 1
Cl2 Cl 0.151 0.116 0.532 1
Cl3 Cl 0.250 0.728 0.399 1
```

---

Record 6
Computed powder X-ray diffraction pattern
Compound: TiInSn2Cl8
Radiation: λ = 1.5418 Å (Cu Kα)
Structure: a GGA-PBE-relaxed structure

Largest 10 diffraction maxima, low angle first, 2θ from 15° to 90°:
hkl 1 1 0, 2θ 18.79, rel. 99
hkl 1 -1 0, 2θ 19.46, rel. 100
hkl 1 0 2, 2θ 23.36, rel. 43
hkl 0 1 2, 2θ 24.47, rel. 24
hkl 1 0 -2, 2θ 25.95, rel. 49
hkl 2 1 2, 2θ 34.87, rel. 24
hkl 2 -1 2, 2θ 35.74, rel. 36
hkl 2 2 0, 2θ 38.12, rel. 25
hkl -2 1 2, 2θ 39.20, rel. 28
hkl 0 0 4, 2θ 41.67, rel. 25

Crystal structure
```
data_TiInSn2Cl8
_chemical_formula_sum 'Ti1 In1 Sn2 Cl8'
_space_group_name_H-M_alt 'P -1'
_space_group_IT_number 2
_space_group_name_Hall '-P 1'
_cell_length_a 6.546
_cell_length_b 6.628
_cell_length_c 8.725
_cell_angle_alpha 89.38
_cell_angle_beta 83.55
_cell_angle_gamma 87.96
loop_
_atom_site_label
_atom_site_type_symbol
_atom_site_fract_x
_atom_site_fract_y
_atom_site_fract_z
_atom_site_occupancy
Ti1 Ti 0.000 0.000 0.000 1
In1 In 0.000 0.000 0.500 1
Sn1 Sn 0.460 0.493 0.760 1
Cl1 Cl 0.209 0.307 0.980 1
Cl2 Cl 0.216 0.866 0.180 1
Cl3 Cl 0.228 0.844 0.781 1
Cl4 Cl 0.274 0.366 0.538 1
```

---

Record 7
Computed powder X-ray diffraction pattern
Compound: TmInSn2Cl8
Radiation: λ = 1.5418 Å (Cu Kα)
Structure: a GGA-PBE-relaxed structure

Largest 10 diffraction maxima, low angle first, 2θ from 15° to 90°:
hkl 1 1 0, 2θ 18.66, rel. 100
hkl 1 -1 0, 2θ 19.24, rel. 96
hkl 0 1 2, 2θ 23.19, rel. 30
hkl 1 0 2, 2θ 23.98, rel. 48
hkl 0 1 -2, 2θ 24.50, rel. 28
hkl 1 0 -2, 2θ 24.63, rel. 46
hkl 0 2 0, 2θ 26.09, rel. 24
hkl 2 1 2, 2θ 35.65, rel. 51
hkl -2 1 2, 2θ 37.21, rel. 55
hkl 1 1 4, 2θ 43.83, rel. 25

Crystal structure
```
data_TmInSn2Cl8
_chemical_formula_sum 'Tm1 In1 Sn2 Cl8'
_space_group_name_H-M_alt 'P -1'
_space_group_IT_number 2
_space_group_name_Hall '-P 1'
_cell_length_a 6.439
_cell_length_b 6.846
_cell_length_c 8.927
_cell_angle_alpha 86.56
_cell_angle_beta 88.27
_cell_angle_gamma 88.16
loop_
_atom_site_label
_atom_site_type_symbol
_atom_site_fract_x
_atom_site_fract_y
_atom_site_fract_z
_atom_site_occupancy
Tm1 Tm 0.000 0.000 0.000 1
In1 In 0.000 0.000 0.500 1
Sn1 Sn 0.494 0.486 0.751 1
Cl1 Cl 0.215 0.826 0.792 1
Cl2 Cl 0.236 0.310 0.966 1
Cl3 Cl 0.247 0.861 0.212 1
Cl4 Cl 0.281 0.361 0.539 1
```

---

Record 8
Computed powder X-ray diffraction pattern
Compound: VInSn2Cl8
Radiation: λ = 1.5418 Å (Cu Kα)
Structure: a GGA-PBE-relaxed structure

Largest 10 diffraction maxima, low angle first, 2θ from 15° to 90°:
hkl 1 1 1, 2θ 18.93, rel. 48
hkl 1 -1 0, 2θ 19.15, rel. 100
hkl 1 1 0, 2θ 19.47, rel. 81
hkl 0 1 2, 2θ 22.97, rel. 36
hkl 1 0 2, 2θ 23.27, rel. 43
hkl 0 2 1, 2θ 24.97, rel. 62
hkl 1 0 -2, 2θ 29.82, rel. 92
hkl 2 1 2, 2θ 33.14, rel. 36
hkl 2 -1 2, 2θ 36.29, rel. 39
hkl 0 3 3, 2θ 45.18, rel. 48

Crystal structure
```
data_VInSn2Cl8
_chemical_formula_sum 'V1 In1 Sn2 Cl8'
_space_group_name_H-M_alt 'P -1'
_space_group_IT_number 2
_space_group_name_Hall '-P 1'
_cell_length_a 6.206
_cell_length_b 7.340
_cell_length_c 8.512
_cell_angle_alpha 77.55
_cell_angle_beta 74.90
_cell_angle_gamma 87.70
loop_
_atom_site_label
_atom_site_type_symbol
_atom_site_fract_x
_atom_site_fract_y
_atom_site_fract_z
_atom_site_occupancy
V1 V 0.000 0.000 0.000 1
In1 In 0.000 0.000 0.500 1
Sn1 Sn 0.457 0.394 0.767 1
Cl1 Cl 0.186 0.716 0.089 1
Cl2 Cl 0.194 0.171 0.124 1
Cl3 Cl 0.252 0.618 0.514 1
Cl4 Cl 0.301 0.075 0.742 1
```

---

Record 9
Computed powder X-ray diffraction pattern
Compound: Sr2InCl
Radiation: λ = 1.5418 Å (Cu Kα)
Structure: a GGA-PBE-relaxed structure

Largest 10 diffraction maxima, low angle first, 2θ from 15° to 90°:
hkl 3 1 0, 2θ 26.99, rel. 100
hkl 4 0 -1, 2θ 27.10, rel. 34
hkl 1 1 -1, 2θ 31.49, rel. 57
hkl 1 1 1, 2θ 33.18, rel. 43
hkl 4 0 1, 2θ 34.08, rel. 76
hkl 6 0 -1, 2θ 34.23, rel. 25
hkl 8 0 0, 2θ 41.59, rel. 20
hkl 0 2 0, 2θ 45.14, rel. 34
hkl 4 2 1, 2θ 57.67, rel. 22
hkl 7 1 -2, 2θ 57.87, rel. 21

Crystal structure
```
data_Sr2InCl
_chemical_formula_sum 'Sr4 In2 Cl2'
_space_group_name_H-M_alt 'C 1 m 1'
_space_group_IT_number 8
_space_group_name_Hall 'C -2y'
_cell_length_a 17.805
_cell_length_b 4.019
_cell_length_c 4.017
_cell_angle_alpha 90.00
_cell_angle_beta 102.69
_cell_angle_gamma 90.00
loop_
_atom_site_label
_atom_site_type_symbol
_atom_site_fract_x
_atom_site_fract_y
_atom_site_fract_z
_atom_site_occupancy
Sr1 Sr 0.000 0.000 0.000 1
Sr2 Sr 0.236 0.000 0.232 1
In1 In 0.118 0.500 0.616 1
Cl1 Cl 0.368 0.500 0.369 1
```

---

Record 10
Computed powder X-ray diffraction pattern
Compound: Ta4InCl
Radiation: λ = 1.5418 Å (Cu Kα)
Structure: a GGA-PBE-relaxed structure

Largest 10 diffraction maxima, low angle first, 2θ from 15° to 90°:
hkl 1 1 1, 2θ 19.41, rel. 52
hkl 3 1 1, 2θ 37.66, rel. 100
hkl 2 2 2, 2θ 39.40, rel. 69
hkl 4 0 0, 2θ 45.82, rel. 21
hkl 3 3 1, 2θ 50.20, rel. 13
hkl 3 3 3, 2θ 60.75, rel. 33
hkl 4 4 0, 2θ 66.80, rel. 32
hkl 5 3 1, 2θ 70.30, rel. 10
hkl 5 3 3, 2θ 79.31, rel. 11
hkl 6 2 2, 2θ 80.41, rel. 27

Crystal structure
```
data_Ta4InCl
_chemical_formula_sum 'Ta16 In4 Cl4'
_space_group_name_H-M_alt 'F -4 3 m'
_space_group_IT_number 216
_space_group_name_Hall 'F -4 2 3'
_cell_length_a 7.922
_cell_length_b 7.922
_cell_length_c 7.922
_cell_angle_alpha 90.00
_cell_angle_beta 90.00
_cell_angle_gamma 90.00
loop_
_atom_site_label
_atom_site_type_symbol
_atom_site_fract_x
_atom_site_fract_y
_atom_site_fract_z
_atom_site_occupancy
Ta1 Ta 0.124 0.124 0.376 1
In1 In 0.250 0.250 0.750 1
Cl1 Cl 0.000 0.000 0.000 1
```